1.
Starting from a structure optimized by DFT (GGA-PBE), the XRD peak list of Dy2MgS4 was computed for Cu Kα (λ = 1.5418 Å).
Intensities are scaled so that the largest is 100.

Cell and atoms:
abc: 12.663 7.565 12.789
angles: 90.00 90.00 90.00
Space group Pca2_1 (No. 29)
Symmetry-distinct sites (fractional):
Dy (0.109, 0.117, 0.000) x4
Dy (0.128, 0.618, 0.359) x4
Dy (0.133, 0.371, 0.693) x4
Dy (0.134, 0.871, 0.694) x4
Mg (0.110, 0.619, 0.994) x4
Mg (0.126, 0.122, 0.364) x4
S (0.013, 0.122, 0.808) x4
S (0.022, 0.627, 0.816) x4
S (0.033, 0.623, 0.555) x4
S (0.042, 0.127, 0.548) x4
S (0.212, 0.121, 0.184) x4
S (0.213, 0.620, 0.166) x4
S (0.231, 0.368, 0.908) x4
S (0.232, 0.871, 0.909) x4

Most intense lines, 2θ from 5° to 70°, in order of falling intensity:
- d 3.536, I = 100, hkl 2 0 3
- d 2.751, I = 67, hkl 3 2 1
- d 1.892, I = 65, hkl 0 4 0
- d 2.578, I = 55, hkl 3 2 2
- d 4.543, I = 38, hkl 2 1 1
- d 2.090, I = 34, hkl 1 2 5
- d 3.487, I = 33, hkl 1 2 1
- d 3.153, I = 30, hkl 1 2 2



2.
Starting from a structure optimized by DFT (GGA-PBE), the XRD peak list of CsLiH4S2N2O6 was computed for Cu Kα (λ = 1.5418 Å).
Intensities are scaled so that the largest is 100.

Cell and atoms:
abc: 5.596 8.053 9.988
angles: 74.57 76.48 86.66
Space group P-1 (No. 2)
Symmetry-distinct sites (fractional):
Cs (0.197, 0.258, 0.085) x2
Li (0.354, 0.113, 0.709) x2
H (0.018, 0.453, 0.640) x2
H (0.098, 0.770, 0.495) x2
H (0.201, 0.965, 0.488) x2
H (0.286, 0.531, 0.354) x2
S (0.198, 0.752, 0.185) x2
S (0.392, 0.756, 0.616) x2
N (0.140, 0.614, 0.347) x2
N (0.149, 0.845, 0.554) x2
O (0.023, 0.140, 0.817) x2
O (0.243, 0.657, 0.074) x2
O (0.317, 0.581, 0.700) x2
O (0.395, 0.242, 0.504) x2
O (0.417, 0.848, 0.181) x2
O (0.438, 0.868, 0.703) x2

Most intense lines, 2θ from 5° to 70°, in order of falling intensity:
- d 3.881, I = 100, hkl 0 2 0
- d 3.206, I = 99, hkl 1 0 -2
- d 9.377, I = 65, hkl 0 0 1
- d 4.033, I = 57, hkl 1 0 2
- d 4.301, I = 50, hkl 1 0 -1
- d 2.723, I = 50, hkl 1 2 -1
- d 3.294, I = 47, hkl 1 -1 2
- d 3.167, I = 43, hkl 1 2 2



3.
Starting from a structure optimized by DFT (GGA-PBE), the XRD peak list of SrI2O7 was computed for Cu Kα (λ = 1.5418 Å).
Intensities are scaled so that the largest is 100.

Cell and atoms:
abc: 12.614 7.991 8.657
angles: 90.00 129.93 90.00
Space group C2/c (No. 15)
Symmetry-distinct sites (fractional):
Sr (0.000, 0.158, 0.250) x4
I (0.185, 0.468, 0.705) x8
O (0.000, 0.170, 0.750) x4
O (0.081, 0.339, 0.094) x8
O (0.142, 0.061, 0.626) x8
O (0.190, 0.407, 0.507) x8

Most intense lines, 2θ from 5° to 70°, in order of falling intensity:
- d 2.990, I = 100, hkl 3 1 0
- d 2.934, I = 84, hkl 2 2 -2
- d 3.080, I = 68, hkl 2 2 0
- d 3.478, I = 62, hkl 3 1 -2
- d 3.319, I = 59, hkl 0 0 2
- d 3.996, I = 58, hkl 0 2 0
- d 4.321, I = 53, hkl 2 0 -2
- d 2.161, I = 39, hkl 4 0 -4



Repeat the second record exactly.
Starting from a structure optimized by DFT (GGA-PBE), the XRD peak list of CsLiH4S2N2O6 was computed for Cu Kα (λ = 1.5418 Å).
Intensities are scaled so that the largest is 100.

Cell and atoms:
abc: 5.596 8.053 9.988
angles: 74.57 76.48 86.66
Space group P-1 (No. 2)
Symmetry-distinct sites (fractional):
Cs (0.197, 0.258, 0.085) x2
Li (0.354, 0.113, 0.709) x2
H (0.018, 0.453, 0.640) x2
H (0.098, 0.770, 0.495) x2
H (0.201, 0.965, 0.488) x2
H (0.286, 0.531, 0.354) x2
S (0.198, 0.752, 0.185) x2
S (0.392, 0.756, 0.616) x2
N (0.140, 0.614, 0.347) x2
N (0.149, 0.845, 0.554) x2
O (0.023, 0.140, 0.817) x2
O (0.243, 0.657, 0.074) x2
O (0.317, 0.581, 0.700) x2
O (0.395, 0.242, 0.504) x2
O (0.417, 0.848, 0.181) x2
O (0.438, 0.868, 0.703) x2

Most intense lines, 2θ from 5° to 70°, in order of falling intensity:
- d 3.881, I = 100, hkl 0 2 0
- d 3.206, I = 99, hkl 1 0 -2
- d 9.377, I = 65, hkl 0 0 1
- d 4.033, I = 57, hkl 1 0 2
- d 4.301, I = 50, hkl 1 0 -1
- d 2.723, I = 50, hkl 1 2 -1
- d 3.294, I = 47, hkl 1 -1 2
- d 3.167, I = 43, hkl 1 2 2



Question: What is the formula in the third record?
Answer: SrI2O7